# 1
# Si4SbO10
Simulated powder diffraction line list, copper Kα. Input: DFT lattice parameters and positions (GGA-PBE).

Most intense lines, 2θ = 10–90°, in order of falling intensity:
2theta	I_rel
24.96	100
16.91	72
29.07	65
26.41	63
20.14	49
21.85	37

Crystal structure
Unit cell a=7.4167 b=7.4167 c=16.2735 alpha=90.00 beta=90.00 gamma=90.00
Space group P4/ncc (No. 130, origin choice 2)
Asymmetric unit:
Si 0.0062 0.0762 0.1538
Sb 0.2500 0.2500 0.4398
O 0.0020 0.2083 0.6335
O 0.0135 0.1503 0.4032
O 0.0397 0.5397 0.2500

***

# 2
# Si2Sb15O28
Simulated powder diffraction line list, copper Kα. Input: DFT lattice parameters and positions (GGA-PBE).

Most intense lines, 2θ = 10–90°, in order of falling intensity:
2theta	I_rel
26.17	100
23.25	94
28.71	83
25.55	71
30.09	58
16.11	56

Crystal structure
Unit cell a=7.0275 b=9.4033 c=14.2789 alpha=90.37 beta=102.12 gamma=97.00
Space group P1 (No. 1)
Asymmetric unit:
Si 0.0000 0.0000 0.0000
Si 0.3835 0.3202 0.0042
Sb 0.0364 0.3569 0.1394
Sb 0.0738 0.8088 0.4274
Sb 0.1330 0.0618 0.2580
Sb 0.1403 0.7361 0.6743
Sb 0.2012 0.3808 0.5682
Sb 0.2720 0.6419 0.0077
Sb 0.3768 0.0323 0.8810
Sb 0.5036 0.7346 0.3384
Sb 0.6137 0.1147 0.1982
Sb 0.6300 0.8102 0.5854
Sb 0.6446 0.3836 0.4416
Sb 0.6891 0.7088 0.8766
Sb 0.7708 0.7766 0.1330
Sb 0.8784 0.0547 0.7665
Sb 0.9002 0.3552 0.9017
O 0.0031 0.8502 0.2271
O 0.0092 0.0788 0.1016
O 0.0707 0.5403 0.8960
O 0.1438 0.3038 0.0111
O 0.1472 0.0268 0.7703
O 0.1652 0.5496 0.1242
O 0.1952 0.0079 0.3955
O 0.2079 0.9713 0.9736
O 0.2155 0.8433 0.5645
O 0.2277 0.2820 0.2425
O 0.2437 0.5539 0.6519
O 0.2739 0.6920 0.3958
O 0.3815 0.0125 0.2343
O 0.3823 0.2485 0.8996
O 0.4512 0.7619 0.9044
O 0.4593 0.4396 0.5233
O 0.4630 0.4921 0.0118
O 0.5017 0.2290 0.0880
O 0.6197 0.9407 0.1194
O 0.6265 0.5554 0.3636
O 0.6584 0.8543 0.4518
O 0.7476 0.8588 0.7857
O 0.7627 0.0219 0.6322
O 0.8600 0.6996 0.6103
O 0.8715 0.8334 0.0016
O 0.8743 0.0865 0.9102
O 0.8983 0.2671 0.7726
O 0.9430 0.4313 0.4888

***

# 3
# Si3Sb2O9
Simulated powder diffraction line list, copper Kα. Input: DFT lattice parameters and positions (GGA-PBE).

Most intense lines, 2θ = 10–90°, in order of falling intensity:
2theta	I_rel
31.82	100
23.82	93
25.52	37
49.12	31
14.65	30
46.24	25

Crystal structure
Unit cell a=6.9805 b=6.9805 c=9.5000 alpha=90.00 beta=90.00 gamma=120.00
Space group P6_3/m (No. 176)
Asymmetric unit:
Si 0.0726 0.2778 0.2500
Sb 0.3333 0.6667 0.5088
O 0.0637 0.2453 0.7500
O 0.0966 0.4191 0.1077

***

# 4
# Si2Sn13Sb2O28
Simulated powder diffraction line list, copper Kα. Input: DFT lattice parameters and positions (GGA-PBE).

Most intense lines, 2θ = 10–90°, in order of falling intensity:
2theta	I_rel
28.09	100
28.97	94
15.77	74
30.67	72
32.02	57
32.24	49

Crystal structure
Unit cell a=6.8445 b=9.8111 c=11.4590 alpha=86.72 beta=78.71 gamma=76.21
Space group P-1 (No. 2)
Asymmetric unit:
Si 0.2102 0.2812 0.0150
Sn 0.0000 0.0000 0.0000
Sn 0.0473 0.3503 0.3029
Sn 0.2380 0.6659 0.2043
Sn 0.2894 0.3668 0.7253
Sn 0.2906 0.0888 0.4319
Sn 0.3308 0.6627 0.8778
Sn 0.4769 0.9804 0.1728
Sb 0.1245 0.0072 0.6992
O 0.0090 0.4271 0.6787
O 0.0159 0.7507 0.9720
O 0.0356 0.1351 0.3220
O 0.0388 0.1261 0.5667
O 0.1270 0.8987 0.1843
O 0.2232 0.3494 0.1404
O 0.2491 0.5911 0.7211
O 0.2626 0.3887 0.9047
O 0.2684 0.2948 0.3964
O 0.2711 0.1550 0.7487
O 0.2811 0.8962 0.8226
O 0.3817 0.9371 0.5705
O 0.3866 0.1269 0.9925
O 0.4126 0.6874 0.3292

***

# 5
# Y4Ti13Si2Sb2O28
Simulated powder diffraction line list, copper Kα. Input: DFT lattice parameters and positions (GGA-PBE).

Most intense lines, 2θ = 10–90°, in order of falling intensity:
2theta	I_rel
33.35	100
30.88	72
32.05	35
33.41	31
34.58	25
39.37	25

Crystal structure
Unit cell a=5.5910 b=9.0395 c=12.6759 alpha=88.35 beta=78.70 gamma=74.01
Space group P1 (No. 1)
Asymmetric unit:
Y 0.0000 0.0000 0.0000
Y 0.0294 0.3572 0.8457
Y 0.4578 0.3735 0.0113
Y 0.5716 0.9836 0.8342
Ti 0.0124 0.6834 0.4184
Ti 0.1423 0.0571 0.6844
Ti 0.1965 0.3854 0.5838
Ti 0.2927 0.6757 0.8389
Ti 0.3950 0.3131 0.2985
Ti 0.4392 0.0554 0.1497
Ti 0.4940 0.6779 0.2463
Ti 0.5267 0.6788 0.5993
Ti 0.5900 0.3005 0.6957
Ti 0.6374 0.0439 0.5467
Ti 0.7349 0.6816 0.0052
Ti 0.8345 0.9707 0.2620
Ti 0.8876 0.3012 0.1612
Si 0.2262 0.9925 0.4088
Si 0.8060 0.3663 0.4373
Sb 0.0872 0.7069 0.1441
Sb 0.9384 0.6499 0.7001
O 0.0649 0.0674 0.1714
O 0.1132 0.3067 0.4382
O 0.1336 0.0925 0.8322
O 0.1360 0.5357 0.9345
O 0.2221 0.6113 0.5547
O 0.2409 0.3064 0.1765
O 0.2899 0.0284 0.5247
O 0.2922 0.5324 0.3229
O 0.2942 0.8076 0.3824
O 0.3193 0.8395 0.7096
O 0.3825 0.8201 0.9298
O 0.4272 0.0636 0.3180
O 0.4743 0.2634 0.8389
O 0.4999 0.5293 0.7175
O 0.5262 0.8266 0.1272
O 0.5550 0.0933 0.0067
O 0.6043 0.2943 0.5274
O 0.6470 0.5364 0.9150
O 0.7090 0.5179 0.1349
O 0.7338 0.8235 0.5238
O 0.7399 0.5507 0.4653
O 0.7418 0.3316 0.3212
O 0.7912 0.0502 0.6690
O 0.8022 0.7442 0.2892
O 0.8918 0.8219 0.9109
O 0.8958 0.2645 0.0135
O 0.9193 0.0510 0.4080
O 0.9646 0.2898 0.6742

***

# 6
# Y4Ti13Si2Sb2O28
Simulated powder diffraction line list, copper Kα. Input: DFT lattice parameters and positions (GGA-PBE).

Most intense lines, 2θ = 10–90°, in order of falling intensity:
2theta	I_rel
30.40	100
33.86	57
33.99	41
30.63	41
54.08	25
56.46	23

Crystal structure
Unit cell a=5.8878 b=23.9540 c=9.2651 alpha=90.00 beta=107.96 gamma=90.00
Space group C2/m (No. 12)
Asymmetric unit:
Y 0.2466 0.2013 0.1617
Ti 0.0000 0.0738 0.5000
Ti 0.0000 0.2079 0.5000
Ti 0.0000 0.5000 0.5000
Ti 0.1862 0.0611 0.1425
Ti 0.2462 0.1346 0.8609
Si 0.2203 0.5000 0.1944
Sb 0.0000 0.3520 0.5000
O 0.0696 0.5000 0.8573
O 0.0863 0.3758 0.8837
O 0.0881 0.1391 0.6519
O 0.1622 0.2096 0.8956
O 0.1717 0.0542 0.8725
O 0.1998 0.0000 0.6186
O 0.2344 0.2752 0.6067
O 0.2450 0.4415 0.6251

***

# 7
# Zn3Si4Sb2O14
Simulated powder diffraction line list, copper Kα. Input: DFT lattice parameters and positions (GGA-PBE).

Most intense lines, 2θ = 10–90°, in order of falling intensity:
2theta	I_rel
29.40	100
12.67	74
26.58	52
28.69	47
36.66	43
19.05	32

Crystal structure
Unit cell a=16.8218 b=8.3877 c=10.6127 alpha=90.00 beta=123.86 gamma=90.00
Space group C2/c (No. 15)
Asymmetric unit:
Zn 0.0000 0.0805 0.2500
Zn 0.1622 0.3524 0.3917
Si 0.1208 0.1124 0.1134
Si 0.1943 0.2168 0.7125
Sb 0.0000 0.2966 0.7500
Sb 0.0000 0.5000 0.0000
O 0.0533 0.0601 0.9366
O 0.0700 0.2275 0.1829
O 0.0827 0.4807 0.8992
O 0.1067 0.3364 0.6786
O 0.1688 0.0356 0.7378
O 0.2078 0.2230 0.1312
O 0.2115 0.2117 0.5754